Computed PXRD pattern of LiY5Er4 for Cu Ka, from a GGA-PBE-relaxed structure.

Largest 8 diffraction maxima, low angle first, 2θ from 5° to 70°:
2θ (°), d/Å, I_rel
29.19, 3.059, 15
31.32, 2.856, 100
35.66, 2.518, 39
37.61, 2.391, 11
51.31, 1.781, 14
52.79, 1.734, 16
60.09, 1.540, 15
61.36, 1.511, 29

```
10
Lattice="3.561 0.000 0.000 0.000 3.561 0.000 0.000 0.000 23.915" Properties=species:S:1:pos:R:3 pbc="T T T"
Li 0.000 0.000 0.000
Y 1.781 1.781 2.013
Y 1.781 1.781 6.966
Y 1.781 1.781 11.957
Y 1.781 1.781 16.949
Y 1.781 1.781 21.902
Er 0.000 0.000 4.468
Er 0.000 0.000 9.463
Er 0.000 0.000 14.452
Er 0.000 0.000 19.447
```

---

Computed PXRD pattern of Ca2RhPbO5 for Cu Ka, from a GGA-PBE-relaxed structure.

Largest 8 diffraction maxima, low angle first, 2θ from 5° to 70°:
2θ (°), d/Å, I_rel
19.66, 4.514, 98
20.56, 4.321, 51
28.60, 3.121, 86
31.25, 2.862, 100
32.63, 2.744, 62
34.06, 2.632, 65
37.19, 2.417, 39
50.40, 1.811, 48

```
18
Lattice="1.649 -8.641 0.000 1.649 8.641 0.000 0.000 0.000 9.029" Properties=species:S:1:pos:R:3 pbc="T T T"
Ca 1.649 6.220 4.514
Ca 1.649 5.749 1.032
Ca 1.649 -5.749 5.546
Ca 1.649 -6.220 0.000
Rh 1.649 4.916 7.346
Rh 1.649 -4.916 2.831
Pb 1.649 0.343 2.764
Pb 1.649 -0.343 7.279
O 1.649 6.884 7.881
O 1.649 3.888 4.098
O 1.649 3.487 1.589
O 1.649 2.827 7.170
O 1.649 0.691 0.311
O 1.649 -0.691 4.825
O 1.649 -2.827 2.655
O 1.649 -3.487 6.103
O 1.649 -3.888 8.612
O 1.649 -6.884 3.366
```

---

Computed PXRD pattern of CsMg for Cu Ka, from a GGA-PBE-relaxed structure.

Largest 8 diffraction maxima, low angle first, 2θ from 5° to 70°:
2θ (°), d/Å, I_rel
18.94, 4.686, 100
21.90, 4.058, 84
24.52, 3.630, 71
31.17, 2.870, 34
33.11, 2.706, 70
34.95, 2.567, 38
41.63, 2.169, 34
51.60, 1.771, 54

```
8
Lattice="8.118 0.000 0.000 0.000 8.118 0.000 0.000 0.000 8.115" Properties=species:S:1:pos:R:3 pbc="T T T"
Cs 1.495 1.495 0.000
Cs 2.564 5.554 4.058
Cs 5.554 2.564 4.058
Cs 6.622 6.622 0.000
Mg 1.123 1.123 4.058
Mg 2.936 5.181 0.000
Mg 5.181 2.936 0.000
Mg 6.995 6.995 4.058
```